(1)
For NiPdAu6, the PBE geometry in Alexandria gives the theoretical powder XRD pattern in this record (Cu Kα X-rays).

Atomic structure:
```
data_NiPdAu6
_cell_length_a 4.1092
_cell_length_b 4.1092
_cell_length_c 16.0223
_cell_angle_alpha 90.00
_cell_angle_beta 90.00
_cell_angle_gamma 90.00
_symmetry_space_group_name_H-M 'I 4/m m m'
_symmetry_Int_Tables_number 139
_symmetry_space_group_name_Hall '-I 4 2'
loop_
_atom_site_label
_atom_site_fract_x
_atom_site_fract_y
_atom_site_fract_z
Ni1 0.0000 0.0000 0.0000
Pd1 0.0000 0.0000 0.5000
Au1 0.0000 0.0000 0.2505
Au2 0.0000 0.5000 0.1169
```

Peak list (8 most intense, 5° ≤ 2θ ≤ 70°, low angle first)
| two_theta | I_rel |
| --- | --- |
| 11.04 | 4 |
| 32.79 | 8 |
| 38.27 | 100 |
| 44.08 | 35 |
| 45.28 | 15 |
| 64.10 | 11 |
| 65.03 | 20 |
| 66.66 | 4 |


(2)
For NiPd2Au8, the PBE geometry in Alexandria gives the theoretical powder XRD pattern in this record (Cu Kα X-rays).

Atomic structure:
```
data_NiPd2Au8
_cell_length_a 7.8982
_cell_length_b 12.6513
_cell_length_c 5.3802
_cell_angle_alpha 90.00
_cell_angle_beta 131.74
_cell_angle_gamma 90.00
_symmetry_space_group_name_H-M 'C 1 2/m 1'
_symmetry_Int_Tables_number 12
loop_
_symmetry_equiv_pos_as_xyz
'x,y,z'
'-x,-y,-z'
'-x,y,-z'
'x,-y,z'
'x+1/2,y+1/2,z'
'-x+1/2,-y+1/2,-z'
'-x+1/2,y+1/2,-z'
'x+1/2,-y+1/2,z'
loop_
_atom_site_label
_atom_site_fract_x
_atom_site_fract_y
_atom_site_fract_z
Ni1 0.0000 0.0000 0.0000
Pd1 0.0000 0.3040 0.5000
Au1 0.0000 0.2189 0.0000
Au2 0.1165 0.5000 0.8398
Au3 0.2086 0.1104 0.5805
```

Peak list (8 most intense, 5° ≤ 2θ ≤ 70°, low angle first)
| two_theta | I_rel |
| --- | --- |
| 35.76 | 100 |
| 36.16 | 92 |
| 36.30 | 49 |
| 37.14 | 66 |
| 39.35 | 77 |
| 40.69 | 33 |
| 41.90 | 53 |
| 49.03 | 43 |


(3)
For Ni2Pd15Au2, the PBE geometry in Alexandria gives the theoretical powder XRD pattern in this record (Cu Kα X-rays).

Atomic structure:
```
data_Ni2Pd15Au2
_cell_length_a 8.9335
_cell_length_b 8.9335
_cell_length_c 13.7968
_cell_angle_alpha 90.00
_cell_angle_beta 90.00
_cell_angle_gamma 120.00
_symmetry_space_group_name_H-M 'R -3 m'
_symmetry_Int_Tables_number 166
_symmetry_space_group_name_Hall '-R 3 2"'
loop_
_atom_site_label
_atom_site_fract_x
_atom_site_fract_y
_atom_site_fract_z
Ni1 0.0000 0.0000 0.0856
Pd1 0.0000 0.3203 0.0000
Pd2 0.0004 0.5002 0.1616
Pd3 0.0000 0.5000 0.5000
Au1 0.0000 0.0000 0.2891
```

Peak list (8 most intense, 5° ≤ 2θ ≤ 70°, low angle first)
| two_theta | I_rel |
| --- | --- |
| 17.22 | 16 |
| 34.79 | 31 |
| 39.18 | 22 |
| 40.09 | 100 |
| 40.39 | 42 |
| 44.31 | 29 |
| 45.14 | 53 |
| 65.94 | 19 |


(4)
For PmNiAu, the PBE geometry in Alexandria gives the theoretical powder XRD pattern in this record (Cu Kα X-rays).

Atomic structure:
```
data_PmNiAu
_cell_length_a 7.7065
_cell_length_b 4.4292
_cell_length_c 7.8986
_cell_angle_alpha 90.00
_cell_angle_beta 108.74
_cell_angle_gamma 90.00
_symmetry_space_group_name_H-M 'C 1 2/m 1'
_symmetry_Int_Tables_number 12
loop_
_symmetry_equiv_pos_as_xyz
'x,y,z'
'-x,-y,-z'
'-x,y,-z'
'x,-y,z'
'x+1/2,y+1/2,z'
'-x+1/2,-y+1/2,-z'
'-x+1/2,y+1/2,-z'
'x+1/2,-y+1/2,z'
loop_
_atom_site_label
_atom_site_fract_x
_atom_site_fract_y
_atom_site_fract_z
Pm1 0.2423 0.0000 0.2246
Ni1 0.1394 0.5000 0.4156
Au1 0.0000 0.0000 0.5000
Au2 0.0000 0.5000 0.0000
```

Peak list (8 most intense, 5° ≤ 2θ ≤ 70°, low angle first)
| two_theta | I_rel |
| --- | --- |
| 28.14 | 100 |
| 39.66 | 25 |
| 39.84 | 50 |
| 40.60 | 54 |
| 40.74 | 27 |
| 50.26 | 14 |
| 58.18 | 25 |
| 65.32 | 13 |


(5)
For PmNi3Au9, the PBE geometry in Alexandria gives the theoretical powder XRD pattern in this record (Cu Kα X-rays).

Atomic structure:
```
data_PmNi3Au9
_cell_length_a 5.3527
_cell_length_b 13.0727
_cell_length_c 7.0451
_cell_angle_alpha 90.00
_cell_angle_beta 111.37
_cell_angle_gamma 90.00
_symmetry_space_group_name_H-M 'C 1 2/m 1'
_symmetry_Int_Tables_number 12
loop_
_symmetry_equiv_pos_as_xyz
'x,y,z'
'-x,-y,-z'
'-x,y,-z'
'x,-y,z'
'x+1/2,y+1/2,z'
'-x+1/2,-y+1/2,-z'
'-x+1/2,y+1/2,-z'
'x+1/2,-y+1/2,z'
loop_
_atom_site_label
_atom_site_fract_x
_atom_site_fract_y
_atom_site_fract_z
Pm1 0.0000 0.0000 0.0000
Ni1 0.0000 0.5000 0.5000
Ni2 0.2500 0.2500 0.0000
Au1 0.0000 0.0000 0.5000
Au2 0.0937 0.3893 0.2132
Au3 0.1630 0.1740 0.3279
```

Peak list (8 most intense, 5° ≤ 2θ ≤ 70°, low angle first)
| two_theta | I_rel |
| --- | --- |
| 33.49 | 41 |
| 33.69 | 34 |
| 38.61 | 54 |
| 38.90 | 100 |
| 39.05 | 57 |
| 43.62 | 28 |
| 43.73 | 45 |
| 44.02 | 23 |


(6)
For PrNi4Au8, the PBE geometry in Alexandria gives the theoretical powder XRD pattern in this record (Cu Kα X-rays).

Atomic structure:
```
data_PrNi4Au8
_cell_length_a 9.1334
_cell_length_b 9.1334
_cell_length_c 5.3044
_cell_angle_alpha 90.00
_cell_angle_beta 90.00
_cell_angle_gamma 90.00
_symmetry_space_group_name_H-M 'I 4/m m m'
_symmetry_Int_Tables_number 139
_symmetry_space_group_name_Hall '-I 4 2'
loop_
_atom_site_label
_atom_site_fract_x
_atom_site_fract_y
_atom_site_fract_z
Pr1 0.0000 0.0000 0.0000
Ni1 0.2500 0.2500 0.2500
Au1 0.0000 0.2206 0.5000
Au2 0.0000 0.3369 0.0000
```

Peak list (8 most intense, 5° ≤ 2θ ≤ 70°, low angle first)
| two_theta | I_rel |
| --- | --- |
| 27.62 | 25 |
| 33.80 | 32 |
| 33.95 | 33 |
| 39.28 | 16 |
| 39.43 | 100 |
| 44.19 | 43 |
| 44.33 | 35 |
| 64.24 | 17 |


(7)
For Pr7Ni2Au2, the PBE geometry in Alexandria gives the theoretical powder XRD pattern in this record (Cu Kα X-rays).

Atomic structure:
```
data_Pr7Ni2Au2
_cell_length_a 7.8549
_cell_length_b 11.5606
_cell_length_c 7.1177
_cell_angle_alpha 90.00
_cell_angle_beta 90.00
_cell_angle_gamma 90.00
_symmetry_space_group_name_H-M 'C m m m'
_symmetry_Int_Tables_number 65
_symmetry_space_group_name_Hall '-C 2 2'
loop_
_atom_site_label
_atom_site_fract_x
_atom_site_fract_y
_atom_site_fract_z
Pr1 0.0000 0.0000 0.0000
Pr2 0.0000 0.5000 0.2469
Pr3 0.2500 0.2500 0.2572
Ni1 0.0000 0.3024 0.0000
Au1 0.1793 0.0000 0.5000
```

Peak list (8 most intense, 5° ≤ 2θ ≤ 70°, low angle first)
| two_theta | I_rel |
| --- | --- |
| 19.79 | 19 |
| 25.91 | 30 |
| 27.46 | 34 |
| 28.60 | 47 |
| 29.47 | 36 |
| 30.94 | 62 |
| 36.21 | 40 |
| 37.47 | 100 |


(8)
For Pr12NiAu6, the PBE geometry in Alexandria gives the theoretical powder XRD pattern in this record (Cu Kα X-rays).

Atomic structure:
```
data_Pr12NiAu6
_cell_length_a 13.1253
_cell_length_b 13.1253
_cell_length_c 12.5378
_cell_angle_alpha 90.00
_cell_angle_beta 90.00
_cell_angle_gamma 120.00
_symmetry_space_group_name_H-M 'R -3'
_symmetry_Int_Tables_number 148
_symmetry_space_group_name_Hall '-R 3'
loop_
_atom_site_label
_atom_site_fract_x
_atom_site_fract_y
_atom_site_fract_z
Pr1 0.0301 0.2121 0.3957
Pr2 0.0503 0.2004 0.8851
Ni1 0.0000 0.0000 0.0000
Au1 0.0494 0.2729 0.6456
```

Peak list (8 most intense, 5° ≤ 2θ ≤ 70°, low angle first)
| two_theta | I_rel |
| --- | --- |
| 21.26 | 25 |
| 21.87 | 93 |
| 29.56 | 39 |
| 31.77 | 53 |
| 35.45 | 100 |
| 36.21 | 94 |
| 37.35 | 26 |
| 65.91 | 24 |


(9)
For NiPtAu, the PBE geometry in Alexandria gives the theoretical powder XRD pattern in this record (Cu Kα X-rays).

Atomic structure:
```
data_NiPtAu
_cell_length_a 4.8341
_cell_length_b 8.2147
_cell_length_c 4.8475
_cell_angle_alpha 90.00
_cell_angle_beta 110.34
_cell_angle_gamma 90.00
_symmetry_space_group_name_H-M 'C 1 2 1'
_symmetry_Int_Tables_number 5
loop_
_symmetry_equiv_pos_as_xyz
'x,y,z'
'-x,y,-z'
'x+1/2,y+1/2,z'
'-x+1/2,y+1/2,-z'
loop_
_atom_site_label
_atom_site_fract_x
_atom_site_fract_y
_atom_site_fract_z
Ni1 0.0000 0.0000 0.0000
Ni2 0.0000 0.1667 0.5000
Pt1 0.0000 0.3186 0.0000
Pt2 0.0000 0.6609 0.0000
Au1 0.0000 0.4988 0.5000
Au2 0.0000 0.8389 0.5000
```

Peak list (8 most intense, 5° ≤ 2θ ≤ 70°, low angle first)
| two_theta | I_rel |
| --- | --- |
| 22.40 | 21 |
| 39.66 | 52 |
| 39.77 | 52 |
| 39.99 | 100 |
| 45.66 | 36 |
| 46.69 | 64 |
| 67.29 | 22 |
| 67.44 | 21 |


(10)
For NiPtAu2, the PBE geometry in Alexandria gives the theoretical powder XRD pattern in this record (Cu Kα X-rays).

Atomic structure:
```
data_NiPtAu2
_cell_length_a 2.8657
_cell_length_b 4.7093
_cell_length_c 9.3976
_cell_angle_alpha 90.00
_cell_angle_beta 90.00
_cell_angle_gamma 90.00
_symmetry_space_group_name_H-M 'I m m m'
_symmetry_Int_Tables_number 71
_symmetry_space_group_name_Hall '-I 2 2'
loop_
_atom_site_label
_atom_site_fract_x
_atom_site_fract_y
_atom_site_fract_z
Ni1 0.0000 0.0000 0.0000
Pt1 0.0000 0.0000 0.5000
Au1 0.0000 0.5000 0.2651
```

Peak list (8 most intense, 5° ≤ 2θ ≤ 70°, low angle first)
| two_theta | I_rel |
| --- | --- |
| 18.89 | 7 |
| 21.10 | 5 |
| 32.67 | 6 |
| 34.38 | 11 |
| 38.26 | 62 |
| 41.60 | 100 |
| 55.23 | 20 |
| 65.10 | 7 |


(11)
For NiPtAu, the PBE geometry in Alexandria gives the theoretical powder XRD pattern in this record (Cu Kα X-rays).

Atomic structure:
```
data_NiPtAu
_cell_length_a 2.8056
_cell_length_b 2.8056
_cell_length_c 6.6635
_cell_angle_alpha 90.00
_cell_angle_beta 90.00
_cell_angle_gamma 120.00
_symmetry_space_group_name_H-M 'P 3 m 1'
_symmetry_Int_Tables_number 156
loop_
_symmetry_equiv_pos_as_xyz
'x,y,z'
'-y,x-y,z'
'-x+y,-x,z'
'-y,-x,z'
'-x+y,y,z'
'x,x-y,z'
loop_
_atom_site_label
_atom_site_fract_x
_atom_site_fract_y
_atom_site_fract_z
Ni1 0.0000 0.0000 0.0000
Pt1 0.6667 0.3333 0.6958
Au1 0.3333 0.6667 0.3245
```

Peak list (8 most intense, 5° ≤ 2θ ≤ 70°, low angle first)
| two_theta | I_rel |
| --- | --- |
| 13.29 | 14 |
| 26.76 | 16 |
| 39.48 | 100 |
| 40.62 | 24 |
| 46.25 | 54 |
| 56.10 | 9 |
| 66.67 | 19 |
| 68.27 | 22 |


(12)
For Ni6PtAu, the PBE geometry in Alexandria gives the theoretical powder XRD pattern in this record (Cu Kα X-rays).

Atomic structure:
```
data_Ni6PtAu
_cell_length_a 7.3535
_cell_length_b 10.4048
_cell_length_c 10.4195
_cell_angle_alpha 90.00
_cell_angle_beta 90.00
_cell_angle_gamma 90.00
_symmetry_space_group_name_H-M 'C m m m'
_symmetry_Int_Tables_number 65
_symmetry_space_group_name_Hall '-C 2 2'
loop_
_atom_site_label
_atom_site_fract_x
_atom_site_fract_y
_atom_site_fract_z
Ni1 0.0000 0.0000 0.0000
Ni2 0.0000 0.0000 0.5000
Ni3 0.0000 0.2475 0.2465
Ni4 0.0000 0.5000 0.0000
Ni5 0.0000 0.5000 0.5000
Ni6 0.2464 0.1240 0.3732
Ni7 0.2466 0.1260 0.1232
Pt1 0.0000 0.0000 0.2494
Pt2 0.0000 0.2526 0.0000
Au1 0.0000 0.2527 0.5000
Au2 0.0000 0.5000 0.2492
```

Peak list (6 most intense, 5° ≤ 2θ ≤ 70°, low angle first)
| two_theta | I_rel |
| --- | --- |
| 24.19 | 35 |
| 34.47 | 30 |
| 42.55 | 100 |
| 49.54 | 48 |
| 55.87 | 16 |
| 61.75 | 12 |